# 1
Starting from a DFT-relaxed cell (GGA-PBE, Alexandria), the PXRD pattern of PrZnAg was calculated for Cu Ka.
No peak broadening, texture or thermal motion is included.

Cell and atoms:
Lattice parameters (Å, degrees): 5.7341 5.7341 5.7341 142.67 142.67 53.82
Element x y z (fractional)
1 Pr 0.0000 0.0000 0.0000
2 Zn 0.3169 0.3169 0.0000
3 Ag 0.6949 0.6949 0.0000

The 10 most intense peaks (10 to 80 degrees two-theta), by angle:
d/Å, I_rel
3.454, 179
2.595, 620
2.557, 71
2.498, 1000
1.835, 217
1.821, 103
1.479, 376
1.425, 118
1.357, 79
1.249, 76

# 2
Starting from a DFT-relaxed cell (GGA-PBE, Alexandria), the PXRD pattern of Na5Hf2F13 was calculated for Cu Ka.
No peak broadening, texture or thermal motion is included.

Cell and atoms:
Lattice parameters (Å, degrees): 6.4819 6.4819 8.5125 96.69 96.69 50.68
Element x y z (fractional)
1 Na 0.0000 0.0000 0.0000
2 Na 0.1635 0.1635 0.4283
3 Na 0.2778 0.2778 0.8458
4 Na 0.7222 0.7222 0.1542
5 Na 0.8365 0.8365 0.5717
6 Hf 0.4271 0.4271 0.2584
7 Hf 0.5729 0.5729 0.7416
8 F 0.0840 0.5555 0.3567
9 F 0.1440 0.5901 0.0727
10 F 0.2032 0.6762 0.7485
11 F 0.3238 0.7968 0.2515
12 F 0.4099 0.8560 0.9273
13 F 0.4445 0.9160 0.6433
14 F 0.5000 0.5000 0.5000
15 F 0.5555 0.0840 0.3567
16 F 0.5901 0.1440 0.0727
17 F 0.6762 0.2032 0.7485
18 F 0.7968 0.3238 0.2515
19 F 0.8560 0.4099 0.9273
20 F 0.9160 0.4445 0.6433

The 10 most intense peaks (10 to 80 degrees two-theta), by angle:
d/Å, I_rel
5.809, 252
5.103, 364
5.007, 1000
4.521, 331
4.218, 484
3.142, 611
3.082, 748
1.924, 285
1.914, 312
1.907, 230

# 3
Starting from a DFT-relaxed cell (GGA-PBE, Alexandria), the PXRD pattern of PrNd2USb4 was calculated for Cu Ka.
No peak broadening, texture or thermal motion is included.

Cell and atoms:
Lattice parameters (Å, degrees): 7.7957 7.7778 6.3585 66.05 65.76 48.19
Element x y z (fractional)
1 Pr 0.0000 0.0000 0.0000
2 Nd 0.5000 0.5000 0.5000
3 Nd 0.7500 0.7500 0.7500
4 U 0.2500 0.2500 0.2500
5 Sb 0.0057 0.0057 0.4943
6 Sb 0.2507 0.2507 0.7493
7 Sb 0.4943 0.4943 0.0057
8 Sb 0.7493 0.7493 0.2507

The 10 most intense peaks (10 to 80 degrees two-theta), by angle:
d/Å, I_rel
3.179, 1000
2.256, 130
2.248, 511
2.240, 127
1.840, 139
1.831, 137
1.590, 129
1.422, 237
1.301, 89
1.295, 131

# 4
Starting from a DFT-relaxed cell (GGA-PBE, Alexandria), the PXRD pattern of TmScAsSe was calculated for Cu Ka.
No peak broadening, texture or thermal motion is included.

Cell and atoms:
Lattice parameters (Å, degrees): 7.1672 7.1672 7.1672 31.51 31.51 31.51
Element x y z (fractional)
1 Tm 0.0000 0.0000 0.0000
2 Sc 0.1801 0.1801 0.1801
3 As 0.5839 0.5839 0.5839
4 Se 0.7602 0.7602 0.7602

The 10 most intense peaks (10 to 80 degrees two-theta), by angle:
d/Å, I_rel
6.806, 359
3.326, 387
3.201, 293
2.813, 467
2.600, 1000
2.206, 365
1.946, 537
1.558, 204
1.281, 228
1.216, 179

# 5
Starting from a DFT-relaxed cell (GGA-PBE, Alexandria), the PXRD pattern of SnHg7Pb12 was calculated for Cu Ka.
No peak broadening, texture or thermal motion is included.

Cell and atoms:
Lattice parameters (Å, degrees): 8.2401 9.0799 9.2619 69.49 67.77 85.60
Element x y z (fractional)
1 Sn 0.0000 0.0000 0.0000
2 Hg 0.0000 0.5000 0.5000
3 Hg 0.0090 0.1391 0.5595
4 Hg 0.2171 0.8207 0.7627
5 Hg 0.2835 0.2272 0.6889
6 Hg 0.7165 0.7728 0.3111
7 Hg 0.7829 0.1793 0.2373
8 Hg 0.9910 0.8609 0.4405
9 Pb 0.0526 0.5710 0.1298
10 Pb 0.2358 0.2480 0.0659
11 Pb 0.3299 0.6303 0.5189
12 Pb 0.3400 0.8451 0.1071
13 Pb 0.3857 0.0414 0.3581
14 Pb 0.4398 0.4566 0.2107
15 Pb 0.5602 0.5434 0.7893
16 Pb 0.6143 0.9586 0.6419
17 Pb 0.6600 0.1549 0.8929
18 Pb 0.6701 0.3697 0.4811
19 Pb 0.7642 0.7520 0.9341
20 Pb 0.9474 0.4290 0.8702

The 10 most intense peaks (10 to 80 degrees two-theta), by angle:
d/Å, I_rel
3.101, 591
2.929, 469
2.878, 479
2.865, 699
2.829, 749
2.735, 1000
2.641, 662
2.609, 832
2.520, 448
2.406, 393

# 6
Starting from a DFT-relaxed cell (GGA-PBE, Alexandria), the PXRD pattern of Pr4GeN was calculated for Cu Ka.
No peak broadening, texture or thermal motion is included.

Cell and atoms:
Lattice parameters (Å, degrees): 8.3877 8.3877 6.5208 105.95 105.95 120.49
Element x y z (fractional)
1 Pr 0.0562 0.6527 0.8360
2 Pr 0.1794 0.2738 0.7123
3 Pr 0.2738 0.1794 0.2123
4 Pr 0.3473 0.9438 0.6640
5 Pr 0.6527 0.0562 0.3360
6 Pr 0.7262 0.8206 0.7877
7 Pr 0.8206 0.7262 0.2877
8 Pr 0.9438 0.3473 0.1640
9 Ge 0.3844 0.6156 0.2500
10 Ge 0.6156 0.3844 0.7500
11 N 0.0636 0.9364 0.7500
12 N 0.9364 0.0636 0.2500

The 10 most intense peaks (10 to 80 degrees two-theta), by angle:
d/Å, I_rel
3.466, 225
3.143, 588
3.127, 262
3.024, 1000
2.811, 348
2.734, 879
2.715, 415
2.696, 315
2.685, 201
1.865, 334

# 7
Starting from a DFT-relaxed cell (GGA-PBE, Alexandria), the PXRD pattern of Tm4SbTe2Pt was calculated for Cu Ka.
No peak broadening, texture or thermal motion is included.

Cell and atoms:
Lattice parameters (Å, degrees): 7.3757 4.2061 7.5872 90.00 108.89 90.00
Element x y z (fractional)
1 Tm 0.2145 0.0000 0.2126
2 Tm 0.2398 0.5000 0.7692
3 Tm 0.7602 0.5000 0.2308
4 Tm 0.7855 0.0000 0.7874
5 Sb 0.5000 0.0000 0.0000
6 Te 0.0000 0.0000 0.5000
7 Te 0.5000 0.5000 0.5000
8 Pt 0.0000 0.5000 0.0000

The 10 most intense peaks (10 to 80 degrees two-theta), by angle:
d/Å, I_rel
3.042, 519
3.024, 1000
2.175, 168
2.167, 374
2.123, 364
2.103, 192
1.730, 216
1.512, 113
1.370, 133
1.335, 95